The following is a simulated powder diffraction line list of Pu3Br2. It was derived from a cell relaxed with PBE, using a wavelength of 1.5418 Å.
Neutral-atom scattering factors, no anomalous dispersion.

Most intense lines, 10 to 90 degrees two-theta, by angle:
d (Å), 2θ (°), I/Imax
3.314, 26.91, 14
3.194, 27.94, 100
2.452, 36.65, 36
2.104, 42.98, 32
1.889, 48.17, 23
1.776, 51.44, 15
1.757, 52.05, 18
1.597, 57.73, 9
1.406, 66.51, 9
1.349, 69.72, 14
1.302, 72.63, 14
1.169, 82.52, 9

Cell and atoms:
Unit cell a=7.851 b=7.851 c=7.851 alpha=55.33 beta=55.33 gamma=55.33
Fractional coordinates of all 10 atoms:
Pu 0.099 0.750 0.401
Pu 0.250 0.599 0.901
Pu 0.401 0.099 0.750
Pu 0.599 0.901 0.250
Pu 0.750 0.401 0.099
Pu 0.901 0.250 0.599
Br 0.167 0.167 0.167
Br 0.333 0.333 0.333
Br 0.667 0.667 0.667
Br 0.833 0.833 0.833

The following is a simulated powder diffraction line list of HoSc2Cu4Ge4. It was derived from a cell relaxed with PBE, using a wavelength of 1.5418 Å.
Neutral-atom scattering factors, no anomalous dispersion.

Most intense lines, 10 to 90 degrees two-theta, by angle:
d (Å), 2θ (°), I/Imax
5.970, 14.84, 25
3.455, 25.78, 18
2.524, 35.57, 100
2.500, 35.92, 28
2.413, 37.26, 88
2.248, 40.12, 25
2.021, 44.84, 42
1.990, 45.59, 33
1.861, 48.95, 45
1.503, 61.71, 17
1.418, 65.87, 21
1.184, 81.24, 17

Cell and atoms:
Unit cell a=7.788 b=7.788 c=7.788 alpha=149.92 beta=129.39 gamma=60.01
Fractional coordinates of all 11 atoms:
Ho 0.000 0.000 0.000
Sc 0.373 0.873 0.500
Sc 0.627 0.127 0.500
Cu 0.021 0.328 0.693
Cu 0.364 0.672 0.693
Cu 0.636 0.328 0.307
Cu 0.979 0.672 0.307
Ge 0.221 0.221 0.000
Ge 0.312 0.500 0.812
Ge 0.688 0.500 0.188
Ge 0.779 0.779 0.000

The following is a simulated powder diffraction line list of TlAgTeO3. It was derived from a cell relaxed with PBE, using a wavelength of 1.5418 Å.
Neutral-atom scattering factors, no anomalous dispersion.

Most intense lines, 10 to 90 degrees two-theta, by angle:
d (Å), 2θ (°), I/Imax
8.801, 10.05, 12
2.981, 29.98, 100
2.727, 32.84, 28
2.552, 35.17, 24
2.483, 36.17, 19
1.863, 48.89, 17
1.836, 49.65, 14
1.780, 51.34, 13
1.619, 56.88, 18
1.544, 59.93, 14
1.513, 61.27, 9
1.490, 62.30, 14

Cell and atoms:
Unit cell a=9.579 b=9.579 c=9.579 alpha=110.59 beta=77.89 gamma=149.10
Fractional coordinates of all 24 atoms:
Tl 0.091 0.114 0.206
Tl 0.409 0.614 0.023
Tl 0.591 0.386 0.977
Tl 0.909 0.886 0.794
Ag 0.271 0.912 0.125
Ag 0.287 0.412 0.641
Ag 0.771 0.646 0.359
Ag 0.787 0.146 0.875
Te 0.140 0.670 0.734
Te 0.436 0.170 0.530
Te 0.640 0.906 0.470
Te 0.936 0.406 0.266
O 0.011 0.268 0.457
O 0.069 0.776 0.902
O 0.234 0.619 0.842
O 0.277 0.119 0.385
O 0.311 0.768 0.256
O 0.374 0.276 0.707
O 0.511 0.055 0.744
O 0.569 0.667 0.293
O 0.734 0.892 0.615
O 0.777 0.392 0.158
O 0.811 0.555 0.543
O 0.874 0.167 0.098

The following is a simulated powder diffraction line list of K3Sc2Ni2. It was derived from a cell relaxed with PBE, using a wavelength of 1.5418 Å.
Neutral-atom scattering factors, no anomalous dispersion.

Most intense lines, 10 to 90 degrees two-theta, by angle:
d (Å), 2θ (°), I/Imax
5.724, 15.48, 33
4.860, 18.25, 46
3.379, 26.37, 100
2.999, 29.79, 44
2.862, 31.25, 74
2.796, 32.01, 19
2.703, 33.14, 71
2.150, 42.03, 31
2.134, 42.35, 18
1.757, 52.04, 19
1.719, 53.29, 29
1.683, 54.54, 30

Cell and atoms:
Unit cell a=9.448 b=9.448 c=5.724 alpha=90.00 beta=90.00 gamma=153.70
Fractional coordinates of all 7 atoms:
K 0.000 0.000 0.000
K 0.182 0.818 0.000
K 0.818 0.182 0.000
Sc 0.389 0.611 0.500
Sc 0.611 0.389 0.500
Ni 0.268 0.732 0.500
Ni 0.732 0.268 0.500

The following is a simulated powder diffraction line list of TlCuTcSe3. It was derived from a cell relaxed with PBE, using a wavelength of 1.5418 Å.
Neutral-atom scattering factors, no anomalous dispersion.

Most intense lines, 10 to 90 degrees two-theta, by angle:
d (Å), 2θ (°), I/Imax
4.122, 21.56, 35
3.417, 26.08, 19
2.885, 30.99, 29
2.811, 31.83, 100
2.550, 35.19, 30
2.537, 35.38, 22
2.481, 36.21, 25
2.217, 40.69, 23
1.877, 48.50, 23
1.673, 54.86, 25
1.566, 58.97, 18
1.512, 61.31, 17

Cell and atoms:
Unit cell a=10.202 b=3.754 c=13.996 alpha=90.00 beta=90.00 gamma=90.00
Fractional coordinates of all 24 atoms:
Tl 0.230 0.250 0.003
Tl 0.270 0.750 0.503
Tl 0.730 0.250 0.497
Tl 0.770 0.750 0.997
Cu 0.249 0.250 0.702
Cu 0.251 0.750 0.202
Cu 0.749 0.250 0.798
Cu 0.751 0.750 0.298
Tc 0.048 0.750 0.748
Tc 0.452 0.250 0.248
Tc 0.548 0.750 0.752
Tc 0.952 0.250 0.252
Se 0.029 0.750 0.144
Se 0.045 0.250 0.623
Se 0.230 0.250 0.316
Se 0.270 0.750 0.816
Se 0.455 0.750 0.123
Se 0.471 0.250 0.644
Se 0.529 0.750 0.356
Se 0.545 0.250 0.877
Se 0.730 0.250 0.184
Se 0.770 0.750 0.684
Se 0.955 0.750 0.377
Se 0.971 0.250 0.856

The following is a simulated powder diffraction line list of Hg2P2O7. It was derived from a cell relaxed with PBE, using a wavelength of 1.5418 Å.
Neutral-atom scattering factors, no anomalous dispersion.

Most intense lines, 10 to 90 degrees two-theta, by angle:
d (Å), 2θ (°), I/Imax
5.458, 16.24, 24
4.608, 19.26, 71
4.474, 19.85, 31
3.444, 25.87, 29
3.281, 27.18, 25
3.210, 27.80, 100
3.058, 29.20, 68
2.733, 32.77, 94
2.533, 35.44, 23
2.277, 39.58, 32
2.204, 40.95, 24
1.610, 57.21, 22

Cell and atoms:
Unit cell a=5.687 b=5.687 c=4.697 alpha=96.88 beta=96.88 gamma=103.75
Fractional coordinates of all 11 atoms:
Hg 0.199 0.801 0.000
Hg 0.801 0.199 0.000
P 0.297 0.297 0.579
P 0.717 0.717 0.423
O 0.128 0.417 0.744
O 0.168 0.168 0.276
O 0.417 0.128 0.744
O 0.521 0.521 0.544
O 0.583 0.868 0.244
O 0.868 0.583 0.244
O 0.880 0.880 0.693

The following is a simulated powder diffraction line list of LiNbAgTeSe2. It was derived from a cell relaxed with PBE, using a wavelength of 1.5418 Å.
Neutral-atom scattering factors, no anomalous dispersion.

Most intense lines, 10 to 90 degrees two-theta, by angle:
d (Å), 2θ (°), I/Imax
6.896, 12.84, 72
3.314, 26.91, 30
3.098, 28.82, 24
2.741, 32.67, 37
2.601, 34.48, 33
2.493, 36.02, 100
2.434, 36.94, 13
2.020, 44.86, 33
1.916, 47.45, 19
1.807, 50.51, 17
1.788, 51.08, 13
1.679, 54.68, 14

Cell and atoms:
Unit cell a=7.128 b=7.128 c=10.404 alpha=90.00 beta=90.00 gamma=150.63
Fractional coordinates of all 12 atoms:
Li 0.201 0.799 0.750
Li 0.799 0.201 0.250
Nb 0.000 0.000 0.000
Nb 0.000 0.000 0.500
Ag 0.463 0.537 0.250
Ag 0.537 0.463 0.750
Te 0.116 0.884 0.250
Te 0.884 0.116 0.750
Se 0.362 0.638 0.046
Se 0.362 0.638 0.454
Se 0.638 0.362 0.546
Se 0.638 0.362 0.954

The following is a simulated powder diffraction line list of Li3Pd. It was derived from a cell relaxed with PBE, using a wavelength of 1.5418 Å.
Neutral-atom scattering factors, no anomalous dispersion.

Most intense lines, 10 to 90 degrees two-theta, by angle:
d (Å), 2θ (°), I/Imax
3.427, 26.00, 100
2.423, 37.10, 23
2.168, 41.67, 1
1.979, 45.86, 51
1.714, 53.47, 13
1.533, 60.40, 18
1.399, 66.87, 4
1.295, 73.05, 25
1.212, 79.02, 3
1.142, 84.88, 10

Cell and atoms:
Unit cell a=4.847 b=4.847 c=4.847 alpha=90.00 beta=90.00 gamma=90.00
Fractional coordinates of all 8 atoms:
Li 0.000 0.250 0.500
Li 0.000 0.750 0.500
Li 0.250 0.500 0.000
Li 0.500 0.000 0.250
Li 0.500 0.000 0.750
Li 0.750 0.500 0.000
Pd 0.000 0.000 0.000
Pd 0.500 0.500 0.500